# Ni5Se4Cl2O12
Calculated XRD peak list, Cu Kα X-rays. Input: a cell relaxed with GGA+U.

Principal peaks in the range 2θ = 10–90°, by angle:
2theta  intensity
12.72  90
15.55  48
24.45  78
25.60  100
28.25  36
28.85  80
29.41  91
30.83  36
32.98  71
33.96  59
36.85  45
38.39  45

Atomic structure:
```
Ni5Se4Cl2O12
1.0
8.1819 0.0000 0.0000
-0.3225 9.4342 0.0000
-2.5975 -2.0670 8.9380
Ni Se Cl O
10 8 4 24
direct
0.0347 0.3859 0.3695 Ni
0.0864 0.0112 0.6775 Ni
0.2361 0.3081 0.0580 Ni
0.2584 0.3937 0.6956 Ni
0.4212 0.7595 0.7741 Ni
0.5788 0.2405 0.2259 Ni
0.7416 0.6063 0.3044 Ni
0.7639 0.6919 0.9420 Ni
0.9136 0.9888 0.3225 Ni
0.9653 0.6141 0.6305 Ni
0.1583 0.6064 0.9303 Se
0.1755 0.7365 0.4064 Se
0.2841 0.1859 0.3892 Se
0.4472 0.1184 0.8272 Se
0.5528 0.8816 0.1728 Se
0.7159 0.8141 0.6108 Se
0.8245 0.2635 0.5936 Se
0.8417 0.3936 0.0697 Se
0.0150 0.1331 0.8970 Cl
0.4451 0.5204 0.2220 Cl
0.5549 0.4796 0.7780 Cl
0.9850 0.8669 0.1030 Cl
0.0121 0.6134 0.4281 O
0.0593 0.4084 0.1571 O
0.0628 0.1644 0.3204 O
0.1067 0.9050 0.4659 O
0.1972 0.4262 0.8958 O
0.2126 0.6329 0.7677 O
0.2821 0.1791 0.7005 O
0.2834 0.3677 0.4800 O
0.3266 0.9573 0.8109 O
0.3345 0.1965 0.2258 O
0.3471 0.7286 0.5491 O
0.4478 0.2268 0.9974 O
0.5522 0.7732 0.0026 O
0.6529 0.2714 0.4509 O
0.6655 0.8035 0.7742 O
0.6734 0.0427 0.1891 O
0.7166 0.6323 0.5200 O
0.7179 0.8209 0.2995 O
0.7874 0.3671 0.2323 O
0.8028 0.5738 0.1042 O
0.8933 0.0950 0.5341 O
0.9372 0.8356 0.6796 O
0.9407 0.5916 0.8429 O
0.9879 0.3866 0.5719 O
```